Starting from a cell relaxed with PBE, the X-ray powder pattern of Li2SO4 was calculated for Cu Kα, 1.54184 Å.

Atomic structure:
```
data_Li2SO4
_chemical_formula_sum 'Li2 S1 O4'
_symmetry_space_group_name_H-M 'P 1'
_symmetry_Int_Tables_number 1
_symmetry_space_group_name_Hall 'P 1'
_cell_length_a 5.4524
_cell_length_b 5.4524
_cell_length_c 5.4524
_cell_angle_alpha 60.00
_cell_angle_beta 60.00
_cell_angle_gamma 60.00
loop_
_atom_site_label
_atom_site_fract_x
_atom_site_fract_y
_atom_site_fract_z
_atom_site_occupancy
Li1 0.0000 0.0000 0.0000 1
Li2 0.5000 0.5000 0.5000 1
S1 0.2500 0.2500 0.2500 1
O1 0.3607 0.3607 0.3607 1
O2 0.3607 0.3607 0.9178 1
O3 0.3607 0.9178 0.3607 1
O4 0.9178 0.3607 0.3607 1
```

Main lines, most intense first (15° ≤ 2θ ≤ 90°):
- 2θ 19.94, 4.452 Å, rel. 100
- 2θ 32.85, 2.726 Å, rel. 17
- 2θ 23.07, 3.855 Å, rel. 14
- 2θ 40.53, 2.226 Å, rel. 13
- 2θ 51.67, 1.769 Å, rel. 11
- 2θ 72.52, 1.303 Å, rel. 8
- 2θ 38.73, 2.325 Å, rel. 8
- 2θ 68.88, 1.363 Å, rel. 7
- 2θ 58.65, 1.574 Å, rel. 6
- 2θ 83.09, 1.162 Å, rel. 2

***

Starting from a cell relaxed with PBE, the X-ray powder pattern of LiLaP4O12 was calculated for Cu Kα, 1.54184 Å.

Atomic structure:
```
data_LiLaP4O12
_chemical_formula_sum 'Li2 La2 P8 O24'
_symmetry_space_group_name_H-M 'P 1'
_symmetry_Int_Tables_number 1
_symmetry_space_group_name_Hall 'P 1'
_cell_length_a 9.1418
_cell_length_b 9.1418
_cell_length_c 10.0090
_cell_angle_alpha 123.16
_cell_angle_beta 123.16
_cell_angle_gamma 46.48
loop_
_atom_site_label
_atom_site_fract_x
_atom_site_fract_y
_atom_site_fract_z
_atom_site_occupancy
Li1 0.2030 0.7970 0.7500 1
Li2 0.7970 0.2030 0.2500 1
La1 0.2984 0.7016 0.2500 1
La2 0.7016 0.2984 0.7500 1
P1 0.0844 0.1943 0.1642 1
P2 0.1934 0.5087 0.4017 1
P3 0.1943 0.0844 0.6642 1
P4 0.4913 0.8066 0.0983 1
P5 0.5087 0.1934 0.9017 1
P6 0.8057 0.9156 0.3358 1
P7 0.8066 0.4913 0.5983 1
P8 0.9156 0.8057 0.8358 1
O1 0.0394 0.2804 0.5892 1
O2 0.0607 0.0748 0.2036 1
O3 0.0748 0.0607 0.7036 1
O4 0.0988 0.6702 0.9501 1
O5 0.1600 0.3292 0.3430 1
O6 0.2547 0.4846 0.2761 1
O7 0.2804 0.0394 0.0892 1
O8 0.3268 0.5225 0.5800 1
O9 0.3292 0.1600 0.8430 1
O10 0.3298 0.9012 0.5499 1
O11 0.4775 0.6732 0.9200 1
O12 0.4846 0.2547 0.7761 1
O13 0.5154 0.7453 0.2239 1
O14 0.5225 0.3268 0.0800 1
O15 0.6702 0.0988 0.4501 1
O16 0.6708 0.8400 0.1570 1
O17 0.6732 0.4775 0.4200 1
O18 0.7196 0.9606 0.9108 1
O19 0.7453 0.5154 0.7239 1
O20 0.8400 0.6708 0.6570 1
O21 0.9012 0.3298 0.0499 1
O22 0.9252 0.9393 0.2964 1
O23 0.9393 0.9252 0.7964 1
O24 0.9606 0.7196 0.4108 1
```

Main lines, most intense first (15° ≤ 2θ ≤ 90°):
- 2θ 20.08, 4.422 Å, rel. 100
- 2θ 22.11, 4.020 Å, rel. 80
- 2θ 31.99, 2.798 Å, rel. 57
- 2θ 27.09, 3.291 Å, rel. 42
- 2θ 30.57, 2.924 Å, rel. 39
- 2θ 15.14, 5.852 Å, rel. 38
- 2θ 29.49, 3.028 Å, rel. 28
- 2θ 22.61, 3.933 Å, rel. 28
- 2θ 33.38, 2.684 Å, rel. 20
- 2θ 39.99, 2.255 Å, rel. 20

***

Starting from a cell relaxed with PBE, the X-ray powder pattern of Ba4NaAuO8 was calculated for Cu Kα, 1.54184 Å.

Atomic structure:
```
data_Ba4NaAuO8
_chemical_formula_sum 'Ba4 Na1 Au1 O8'
_symmetry_space_group_name_H-M 'P 1'
_symmetry_Int_Tables_number 1
_symmetry_space_group_name_Hall 'P 1'
_cell_length_a 8.4825
_cell_length_b 8.4825
_cell_length_c 8.4825
_cell_angle_alpha 139.72
_cell_angle_beta 139.72
_cell_angle_gamma 58.28
loop_
_atom_site_label
_atom_site_fract_x
_atom_site_fract_y
_atom_site_fract_z
_atom_site_occupancy
Ba1 0.1261 0.6261 0.5000 1
Ba2 0.3739 0.8739 0.5000 1
Ba3 0.6261 0.1261 0.5000 1
Ba4 0.8739 0.3739 0.5000 1
Na1 0.0000 0.0000 0.0000 1
Au1 0.5000 0.5000 0.0000 1
O1 0.1728 0.1728 0.0000 1
O2 0.2590 0.2590 0.5181 1
O3 0.2590 0.7410 0.0000 1
O4 0.2768 0.2768 0.0000 1
O5 0.7232 0.7232 0.0000 1
O6 0.7410 0.2590 0.0000 1
O7 0.7410 0.7410 0.4819 1
O8 0.8272 0.8272 0.0000 1
```

Main lines, most intense first (15° ≤ 2θ ≤ 90°):
- 2θ 32.47, 2.758 Å, rel. 100
- 2θ 30.61, 2.921 Å, rel. 56
- 2θ 55.59, 1.653 Å, rel. 42
- 2θ 43.84, 2.065 Å, rel. 28
- 2θ 16.31, 5.434 Å, rel. 24
- 2θ 23.59, 3.772 Å, rel. 14
- 2θ 59.06, 1.564 Å, rel. 14
- 2θ 21.51, 4.131 Å, rel. 13
- 2θ 39.28, 2.294 Å, rel. 13
- 2θ 67.98, 1.379 Å, rel. 12

***

Starting from a cell relaxed with PBE, the X-ray powder pattern of Cs6Br4O was calculated for Cu Kα, 1.54184 Å.

Atomic structure:
```
data_Cs6Br4O
_chemical_formula_sum 'Cs12 Br8 O2'
_symmetry_space_group_name_H-M 'P 1'
_symmetry_Int_Tables_number 1
_symmetry_space_group_name_Hall 'P 1'
_cell_length_a 10.0398
_cell_length_b 10.0398
_cell_length_c 10.0398
_cell_angle_alpha 88.85
_cell_angle_beta 88.85
_cell_angle_gamma 88.85
loop_
_atom_site_label
_atom_site_fract_x
_atom_site_fract_y
_atom_site_fract_z
_atom_site_occupancy
Cs1 0.0574 0.9329 0.7229 1
Cs2 0.0671 0.2771 0.9426 1
Cs3 0.2229 0.4329 0.5574 1
Cs4 0.2771 0.9426 0.0671 1
Cs5 0.4329 0.5574 0.2229 1
Cs6 0.4426 0.7771 0.5671 1
Cs7 0.5574 0.2229 0.4329 1
Cs8 0.5671 0.4426 0.7771 1
Cs9 0.7229 0.0574 0.9329 1
Cs10 0.7771 0.5671 0.4426 1
Cs11 0.9329 0.7229 0.0574 1
Cs12 0.9426 0.0671 0.2771 1
Br1 0.1266 0.7500 0.3734 1
Br2 0.2500 0.2500 0.2500 1
Br3 0.2500 0.6266 0.8734 1
Br4 0.3734 0.1266 0.7500 1
Br5 0.6266 0.8734 0.2500 1
Br6 0.7500 0.3734 0.1266 1
Br7 0.7500 0.7500 0.7500 1
Br8 0.8734 0.2500 0.6266 1
O1 0.0000 0.0000 0.0000 1
O2 0.5000 0.5000 0.5000 1
```

Main lines, most intense first (15° ≤ 2θ ≤ 90°):
- 2θ 29.57, 3.021 Å, rel. 100
- 2θ 26.88, 3.316 Å, rel. 41
- 2θ 44.69, 2.028 Å, rel. 30
- 2θ 27.95, 3.193 Å, rel. 29
- 2θ 21.76, 4.084 Å, rel. 29
- 2θ 30.24, 2.956 Å, rel. 28
- 2θ 21.33, 4.166 Å, rel. 18
- 2θ 25.35, 3.514 Å, rel. 14
- 2θ 33.66, 2.662 Å, rel. 13
- 2θ 53.30, 1.719 Å, rel. 13